Entry 1:
Starting from a DFT-relaxed cell (PBE, Alexandria), the powder diffraction line list of SmScMo2N6 was calculated for Cu Kα.
Neutral-atom scattering factors, no anomalous dispersion.

Crystal structure
a b c (Å): 7.4542 7.4542 6.3304
angles (deg): 109.22 109.22 80.01
Fractional coordinates of all 20 atoms:
Sm (0.0969, 0.9031, 0.7500)
Sm (0.9031, 0.0969, 0.2500)
Sc (0.2755, 0.7245, 0.2500)
Sc (0.7245, 0.2755, 0.7500)
Mo (0.2095, 0.3779, 0.8194)
Mo (0.3779, 0.2095, 0.3194)
Mo (0.6221, 0.7905, 0.6806)
Mo (0.7905, 0.6221, 0.1806)
N (0.0020, 0.2256, 0.6759)
N (0.1336, 0.6239, 0.8582)
N (0.2256, 0.0020, 0.1759)
N (0.3159, 0.3925, 0.1380)
N (0.3761, 0.8664, 0.6418)
N (0.3925, 0.3159, 0.6380)
N (0.6075, 0.6841, 0.3620)
N (0.6239, 0.1336, 0.3582)
N (0.6841, 0.6075, 0.8620)
N (0.7744, 0.9980, 0.8241)
N (0.8664, 0.3761, 0.1418)
N (0.9980, 0.7744, 0.3241)

Main lines, low angle first (10° ≤ 2θ ≤ 80°):
Position (°2θ), Rel. int.
12.6, 19
25.6, 100
27.6, 46
30.1, 19
31.3, 31
33.6, 21
35.1, 26
35.5, 21
47.1, 16
49.1, 19



Entry 2:
Starting from a DFT-relaxed cell (PBE, Alexandria), the powder diffraction line list of La6AgPd5 was calculated for Cu Kα.
Neutral-atom scattering factors, no anomalous dispersion.

Crystal structure
a b c (Å): 9.0462 9.0462 5.2156
angles (deg): 106.50 106.50 48.56
Fractional coordinates of all 12 atoms:
La (0.0725, 0.5827, 0.3276)
La (0.2400, 0.7600, 0.0000)
La (0.4173, 0.9275, 0.6724)
La (0.5827, 0.0725, 0.3276)
La (0.7600, 0.2400, 0.0000)
La (0.9275, 0.4173, 0.6724)
Ag (0.5000, 0.5000, 0.5000)
Pd (0.0000, 0.0000, 0.5000)
Pd (0.1657, 0.1657, 0.1652)
Pd (0.3446, 0.3446, 0.8451)
Pd (0.6554, 0.6554, 0.1549)
Pd (0.8343, 0.8343, 0.8348)

Main lines, low angle first (10° ≤ 2θ ≤ 80°):
Position (°2θ), Rel. int.
34.2, 100
34.4, 49
49.0, 9
49.3, 9
49.5, 8
61.2, 9
61.2, 9
61.4, 17
61.5, 17
72.0, 5



Entry 3:
Starting from a DFT-relaxed cell (PBE, Alexandria), the powder diffraction line list of Mn4TeP was calculated for Cu Kα.
Neutral-atom scattering factors, no anomalous dispersion.

Crystal structure
a b c (Å): 4.9842 4.9842 4.9842
angles (deg): 60.00 60.00 60.00
Fractional coordinates of all 6 atoms:
Mn (0.3756, 0.3756, 0.3756)
Mn (0.3756, 0.3756, 0.8732)
Mn (0.3756, 0.8732, 0.3756)
Mn (0.8732, 0.3756, 0.3756)
Te (0.0000, 0.0000, 0.0000)
P (0.7500, 0.7500, 0.7500)

Main lines, low angle first (10° ≤ 2θ ≤ 80°):
Position (°2θ), Rel. int.
21.8, 15
25.3, 17
36.0, 36
42.5, 100
44.5, 32
56.9, 4
58.6, 6
64.8, 13
69.3, 29
76.4, 21



Entry 4:
Starting from a DFT-relaxed cell (PBE, Alexandria), the powder diffraction line list of Sr3Tl2Sb4 was calculated for Cu Kα.
Neutral-atom scattering factors, no anomalous dispersion.

Crystal structure
a b c (Å): 4.8753 7.7278 8.9244
angles (deg): 72.81 74.17 89.99
Fractional coordinates of all 9 atoms:
Sr (0.0000, 0.0000, 0.0000)
Sr (0.1320, 0.5829, 0.7358)
Sr (0.8680, 0.4171, 0.2642)
Tl (0.3344, 0.9983, 0.3303)
Tl (0.6656, 0.0017, 0.6697)
Sb (0.2181, 0.2459, 0.5646)
Sb (0.4991, 0.6888, 0.0017)
Sb (0.5009, 0.3112, 0.9983)
Sb (0.7819, 0.7541, 0.4354)

Main lines, low angle first (10° ≤ 2θ ≤ 80°):
Position (°2θ), Rel. int.
12.0, 24
25.0, 30
27.2, 23
29.6, 100
30.9, 61
31.3, 20
32.9, 19
36.9, 38
38.2, 22
40.0, 30



Entry 5:
Starting from a DFT-relaxed cell (PBE, Alexandria), the powder diffraction line list of Ba3Na3Rh was calculated for Cu Kα.
Neutral-atom scattering factors, no anomalous dispersion.

Crystal structure
a b c (Å): 13.9151 13.9151 13.9151
angles (deg): 31.51 31.51 31.51
Fractional coordinates of all 14 atoms:
Ba (0.1149, 0.4556, 0.7955)
Ba (0.2045, 0.8851, 0.5444)
Ba (0.4556, 0.7955, 0.1149)
Ba (0.5444, 0.2045, 0.8851)
Ba (0.7955, 0.1149, 0.4556)
Ba (0.8851, 0.5444, 0.2045)
Na (0.0406, 0.6970, 0.3674)
Na (0.3030, 0.6326, 0.9594)
Na (0.3674, 0.0406, 0.6970)
Na (0.6326, 0.9594, 0.3030)
Na (0.6970, 0.3674, 0.0406)
Na (0.9594, 0.3030, 0.6326)
Rh (0.1666, 0.1666, 0.1666)
Rh (0.8334, 0.8334, 0.8334)

Main lines, low angle first (10° ≤ 2θ ≤ 80°):
Position (°2θ), Rel. int.
24.5, 34
27.2, 100
31.2, 33
36.1, 30
41.4, 30
41.7, 20
42.0, 17
47.8, 17
50.2, 18
67.1, 15



Entry 6:
Starting from a DFT-relaxed cell (PBE, Alexandria), the powder diffraction line list of DyMgCd5 was calculated for Cu Kα.
Neutral-atom scattering factors, no anomalous dispersion.

Crystal structure
a b c (Å): 4.4887 4.4887 8.7883
angles (deg): 90.00 90.00 90.00
Fractional coordinates of all 7 atoms:
Dy (0.0000, 0.0000, 0.0000)
Mg (0.5000, 0.5000, 0.5000)
Cd (0.0000, 0.5000, 0.2709)
Cd (0.0000, 0.5000, 0.7291)
Cd (0.5000, 0.0000, 0.2709)
Cd (0.5000, 0.0000, 0.7291)
Cd (0.5000, 0.5000, 0.0000)

Main lines, low angle first (10° ≤ 2θ ≤ 80°):
Position (°2θ), Rel. int.
10.1, 29
29.9, 26
30.5, 12
34.9, 100
40.2, 35
41.1, 14
51.3, 11
58.1, 11
58.8, 19
69.6, 25



Entry 7:
Starting from a DFT-relaxed cell (PBE, Alexandria), the powder diffraction line list of HgPd8Se2 was calculated for Cu Kα.
Neutral-atom scattering factors, no anomalous dispersion.

Crystal structure
a b c (Å): 4.9238 5.9487 7.2890
angles (deg): 110.32 105.28 100.37
Fractional coordinates of all 11 atoms:
Hg (0.0000, 0.0000, 0.0000)
Pd (0.1619, 0.4504, 0.3502)
Pd (0.1666, 0.9456, 0.3971)
Pd (0.1787, 0.5784, 0.0002)
Pd (0.3772, 0.8472, 0.7656)
Pd (0.6117, 0.0823, 0.2349)
Pd (0.6467, 0.3615, 0.0009)
Pd (0.7701, 0.5505, 0.6032)
Pd (0.8124, 0.1026, 0.6506)
Se (0.3137, 0.3816, 0.6816)
Se (0.6309, 0.7017, 0.3192)

Main lines, low angle first (10° ≤ 2θ ≤ 80°):
Position (°2θ), Rel. int.
29.5, 16
33.7, 35
37.1, 42
38.2, 17
38.4, 29
39.2, 100
39.8, 54
42.4, 23
44.4, 36
68.7, 16



Entry 8:
Starting from a DFT-relaxed cell (PBE, Alexandria), the powder diffraction line list of Pr4PuSe5 was calculated for Cu Kα.
Neutral-atom scattering factors, no anomalous dispersion.

Crystal structure
a b c (Å): 17.4348 17.4348 17.4348
angles (deg): 13.99 13.99 13.99
Fractional coordinates of all 10 atoms:
Pr (0.1015, 0.1015, 0.1015)
Pr (0.2999, 0.2999, 0.2999)
Pr (0.7001, 0.7001, 0.7001)
Pr (0.8985, 0.8985, 0.8985)
Pu (0.5000, 0.5000, 0.5000)
Se (0.0000, 0.0000, 0.0000)
Se (0.1979, 0.1979, 0.1979)
Se (0.4009, 0.4009, 0.4009)
Se (0.5991, 0.5991, 0.5991)
Se (0.8021, 0.8021, 0.8021)

Main lines, low angle first (10° ≤ 2θ ≤ 80°):
Position (°2θ), Rel. int.
25.7, 16
29.8, 100
42.6, 38
42.7, 37
50.4, 8
52.8, 20
61.9, 12
70.1, 17
70.3, 16
78.0, 19



Entry 9:
Starting from a DFT-relaxed cell (PBE, Alexandria), the powder diffraction line list of Zn3GaPd6 was calculated for Cu Kα.
Neutral-atom scattering factors, no anomalous dispersion.

Crystal structure
a b c (Å): 7.4125 4.4657 9.4777
angles (deg): 90.00 109.67 90.00
Fractional coordinates of all 20 atoms:
Zn (0.0329, 0.2500, 0.3823)
Zn (0.1277, 0.7500, 0.2083)
Zn (0.2748, 0.2500, 0.9828)
Zn (0.7252, 0.7500, 0.0172)
Zn (0.8723, 0.2500, 0.7917)
Zn (0.9671, 0.7500, 0.6177)
Ga (0.4502, 0.2500, 0.5977)
Ga (0.5498, 0.7500, 0.4023)
Pd (0.0349, 0.7500, 0.9149)
Pd (0.1541, 0.2500, 0.6789)
Pd (0.2542, 0.7500, 0.5005)
Pd (0.3467, 0.2500, 0.3067)
Pd (0.3511, 0.7500, 0.8169)
Pd (0.4218, 0.7500, 0.1219)
Pd (0.5782, 0.2500, 0.8781)
Pd (0.6489, 0.2500, 0.1831)
Pd (0.6533, 0.7500, 0.6933)
Pd (0.7458, 0.2500, 0.4995)
Pd (0.8459, 0.7500, 0.3211)
Pd (0.9651, 0.2500, 0.0851)

Main lines, low angle first (10° ≤ 2θ ≤ 80°):
Position (°2θ), Rel. int.
40.0, 47
40.4, 60
41.9, 94
42.0, 100
58.1, 30
63.4, 14
74.1, 11
74.5, 16
74.6, 17
77.9, 15



Entry 10:
Starting from a DFT-relaxed cell (PBE, Alexandria), the powder diffraction line list of Th4Tl3Cd was calculated for Cu Kα.
Neutral-atom scattering factors, no anomalous dispersion.

Crystal structure
a b c (Å): 4.6744 4.9589 9.9377
angles (deg): 90.00 90.00 90.00
Fractional coordinates of all 8 atoms:
Th (0.0000, 0.0000, 0.0000)
Th (0.0000, 0.0000, 0.5000)
Th (0.0000, 0.5000, 0.2483)
Th (0.0000, 0.5000, 0.7517)
Tl (0.5000, 0.0000, 0.2458)
Tl (0.5000, 0.0000, 0.7542)
Tl (0.5000, 0.5000, 0.5000)
Cd (0.5000, 0.5000, 0.0000)

Main lines, low angle first (10° ≤ 2θ ≤ 80°):
Position (°2θ), Rel. int.
31.9, 100
36.2, 36
38.5, 15
52.1, 13
53.9, 23
62.4, 30
65.5, 13
66.6, 12
76.7, 2
76.9, 2



Entry 11:
Starting from a DFT-relaxed cell (PBE, Alexandria), the powder diffraction line list of La2MgScHg6 was calculated for Cu Kα.
Neutral-atom scattering factors, no anomalous dispersion.

Crystal structure
a b c (Å): 6.3178 6.5444 7.5685
angles (deg): 72.76 79.16 70.02
Fractional coordinates of all 10 atoms:
La (0.1335, 0.3816, 0.2434)
La (0.8665, 0.6184, 0.7566)
Mg (0.5000, 0.5000, 0.5000)
Sc (0.0000, 0.0000, 0.0000)
Hg (0.1195, 0.8469, 0.3737)
Hg (0.3308, 0.6701, 0.8324)
Hg (0.3809, 0.1718, 0.8378)
Hg (0.6191, 0.8282, 0.1622)
Hg (0.6692, 0.3299, 0.1676)
Hg (0.8805, 0.1531, 0.6263)

Main lines, low angle first (10° ≤ 2θ ≤ 80°):
Position (°2θ), Rel. int.
20.3, 45
24.7, 39
27.8, 63
29.4, 85
31.6, 100
32.0, 69
33.9, 86
35.4, 67
35.7, 89
37.8, 39



Entry 12:
Starting from a DFT-relaxed cell (PBE, Alexandria), the powder diffraction line list of Ce3YTh2S6 was calculated for Cu Kα.
Neutral-atom scattering factors, no anomalous dispersion.

Crystal structure
a b c (Å): 6.9629 6.9629 6.9164
angles (deg): 99.65 99.65 119.94
Fractional coordinates of all 12 atoms:
Ce (0.0000, 0.0000, 0.0000)
Ce (0.3316, 0.6684, 0.0000)
Ce (0.6684, 0.3316, 0.0000)
Y (0.5000, 0.5000, 0.5000)
Th (0.1663, 0.8337, 0.5000)
Th (0.8337, 0.1663, 0.5000)
S (0.0912, 0.4179, 0.2529)
S (0.2569, 0.2569, 0.7498)
S (0.4179, 0.0912, 0.2529)
S (0.5821, 0.9088, 0.7471)
S (0.7431, 0.7431, 0.2502)
S (0.9088, 0.5821, 0.7471)

Main lines, low angle first (10° ≤ 2θ ≤ 80°):
Position (°2θ), Rel. int.
27.2, 63
27.4, 20
31.5, 100
45.1, 37
45.3, 36
53.5, 17
53.6, 14
56.1, 19
65.9, 12
74.7, 11